Structure and simulated XRD peak list of Na2ZnB6O11 (a DFT-relaxed cell (PBE, Alexandria); Cu Kα (weighted mean of Kα1 and Kα2)).

Crystal structure
Cell lengths 6.6007, 6.6007, 11.5786 Å; angles 107.60, 107.60, 69.27 degrees
Atoms (fractional coordinates):
Na: 0.0547 0.2348 0.0368
Na: 0.2348 0.0547 0.5368
Na: 0.7652 0.9453 0.4632
Na: 0.9453 0.7652 0.9632
Zn: 0.3731 0.6269 0.7500
Zn: 0.6269 0.3731 0.2500
B: 0.1703 0.5934 0.2652
B: 0.2062 0.6061 0.4881
B: 0.2442 0.2839 0.8462
B: 0.2839 0.2442 0.3462
B: 0.3939 0.7938 0.0119
B: 0.4066 0.8297 0.2348
B: 0.5934 0.1703 0.7652
B: 0.6061 0.2062 0.9881
B: 0.7161 0.7558 0.6538
B: 0.7558 0.7161 0.1538
B: 0.7938 0.3939 0.5119
B: 0.8297 0.4066 0.7348
O: 0.0204 0.3501 0.8377
O: 0.1224 0.7091 0.3885
O: 0.2214 0.7358 0.6035
O: 0.2403 0.3443 0.2501
O: 0.2642 0.7786 0.8965
O: 0.2686 0.3725 0.4661
O: 0.2909 0.8776 0.1115
O: 0.3443 0.2403 0.7501
O: 0.3501 0.0204 0.3377
O: 0.3649 0.6351 0.2500
O: 0.3725 0.2686 0.9661
O: 0.6275 0.7314 0.0339
O: 0.6351 0.3649 0.7500
O: 0.6499 0.9796 0.6623
O: 0.6557 0.7597 0.2499
O: 0.7091 0.1224 0.8885
O: 0.7314 0.6275 0.5339
O: 0.7358 0.2214 0.1035
O: 0.7597 0.6557 0.7499
O: 0.7786 0.2642 0.3965
O: 0.8776 0.2909 0.6115
O: 0.9796 0.6499 0.1623

Largest 10 diffraction maxima, low angle first, 5 to 70 degrees two-theta:
| two_theta | I_rel |
| --- | --- |
| 14.71 | 60 |
| 19.56 | 26 |
| 24.47 | 68 |
| 27.39 | 100 |
| 29.00 | 75 |
| 29.66 | 46 |
| 31.37 | 33 |
| 33.23 | 42 |
| 46.13 | 30 |
| 46.59 | 27 |


Structure and simulated XRD peak list of NaZr2BOs (a DFT-relaxed cell (PBE, Alexandria); Cu Kα (weighted mean of Kα1 and Kα2)).

Crystal structure
Cell lengths 4.9742, 4.9742, 5.2289 Å; angles 90.00, 90.00, 90.00 degrees
Atoms (fractional coordinates):
Na: 0.0000 0.0000 0.0000
Zr: 0.0000 0.5000 0.5000
Zr: 0.5000 0.0000 0.5000
B: 0.5000 0.5000 0.0000
Os: 0.0000 0.0000 0.5000

Largest 10 diffraction maxima, low angle first, 5 to 70 degrees two-theta:
| two_theta | I_rel |
| --- | --- |
| 16.96 | 100 |
| 17.83 | 61 |
| 24.70 | 41 |
| 34.30 | 25 |
| 36.11 | 44 |
| 38.92 | 18 |
| 40.15 | 46 |
| 44.25 | 17 |
| 50.66 | 33 |
| 55.10 | 18 |


Structure and simulated XRD peak list of NaB2P2S6 (a DFT-relaxed cell (PBE, Alexandria); Cu Kα (weighted mean of Kα1 and Kα2)).

Crystal structure
Cell lengths 5.7918, 7.6697, 7.9016 Å; angles 115.00, 90.01, 112.08 degrees
Atoms (fractional coordinates):
Na: 0.0000 0.0000 0.0000
B: 0.4611 0.9223 0.1119
B: 0.5389 0.0777 0.8881
P: 0.0164 0.0334 0.3742
P: 0.9836 0.9666 0.6258
S: 0.1627 0.8058 0.2174
S: 0.3574 0.1936 0.7812
S: 0.3972 0.7927 0.8378
S: 0.6028 0.2073 0.1622
S: 0.6426 0.8064 0.2188
S: 0.8373 0.1942 0.7826

Largest 10 diffraction maxima, low angle first, 5 to 70 degrees two-theta:
| two_theta | I_rel |
| --- | --- |
| 12.59 | 13 |
| 13.99 | 100 |
| 19.04 | 23 |
| 25.33 | 12 |
| 26.14 | 13 |
| 34.02 | 22 |
| 35.80 | 17 |
| 38.63 | 9 |
| 38.73 | 15 |
| 38.84 | 9 |


Structure and simulated XRD peak list of NaBPd2 (a DFT-relaxed cell (PBE, Alexandria); Cu Kα (weighted mean of Kα1 and Kα2)).

Crystal structure
Cell lengths 5.3546, 5.3546, 5.4478 Å; angles 90.06, 90.06, 120.71 degrees
Atoms (fractional coordinates):
Na: 0.0000 0.5000 0.0000
Na: 0.5000 0.0000 0.5000
B: 0.9998 0.0002 0.2500
B: 0.0002 0.9998 0.7500
Pd: 0.2027 0.3293 0.5008
Pd: 0.3293 0.2027 0.0008
Pd: 0.6707 0.7973 0.9992
Pd: 0.7973 0.6707 0.4992

Largest 10 diffraction maxima, low angle first, 5 to 70 degrees two-theta:
| two_theta | I_rel |
| --- | --- |
| 19.07 | 53 |
| 25.33 | 19 |
| 32.88 | 38 |
| 33.84 | 34 |
| 37.43 | 100 |
| 47.85 | 14 |
| 47.96 | 14 |
| 54.93 | 19 |
| 61.73 | 22 |
| 62.92 | 19 |


Structure and simulated XRD peak list of Na2BPd6 (a DFT-relaxed cell (PBE, Alexandria); Cu Kα (weighted mean of Kα1 and Kα2)).

Crystal structure
Cell lengths 5.8229, 5.8229, 5.8229 Å; angles 119.86, 119.86, 90.24 degrees
Atoms (fractional coordinates):
Na: 0.2500 0.7500 0.5000
Na: 0.7500 0.2500 0.5000
B: 0.0000 0.0000 0.0000
Pd: 0.2555 0.2555 0.5109
Pd: 0.2555 0.7445 0.0000
Pd: 0.2565 0.2565 0.0000
Pd: 0.7435 0.7435 0.0000
Pd: 0.7445 0.2555 0.0000
Pd: 0.7445 0.7445 0.4891

Largest 10 diffraction maxima, low angle first, 5 to 70 degrees two-theta:
| two_theta | I_rel |
| --- | --- |
| 21.57 | 22 |
| 30.69 | 14 |
| 37.82 | 100 |
| 43.88 | 34 |
| 44.08 | 17 |
| 49.41 | 6 |
| 49.57 | 3 |
| 54.51 | 4 |
| 63.80 | 11 |
| 63.95 | 21 |


Structure and simulated XRD peak list of Na3B5Pt9 (a DFT-relaxed cell (PBE, Alexandria); Cu Kα (weighted mean of Kα1 and Kα2)).

Crystal structure
Cell lengths 6.4042, 6.4042, 15.3175 Å; angles 90.00, 90.00, 128.15 degrees
Atoms (fractional coordinates):
Na: 0.0589 0.9411 0.5856
Na: 0.0589 0.9411 0.9144
Na: 0.1862 0.8138 0.7500
Na: 0.8138 0.1862 0.2500
Na: 0.9411 0.0589 0.0856
Na: 0.9411 0.0589 0.4144
B: 0.2276 0.7724 0.2500
B: 0.3113 0.6887 0.0280
B: 0.3113 0.6887 0.4720
B: 0.4441 0.5559 0.6463
B: 0.4441 0.5559 0.8537
B: 0.5559 0.4441 0.1463
B: 0.5559 0.4441 0.3537
B: 0.6887 0.3113 0.5280
B: 0.6887 0.3113 0.9720
B: 0.7724 0.2276 0.7500
Pt: 0.0684 0.4370 0.5790
Pt: 0.0684 0.4370 0.9210
Pt: 0.1602 0.3318 0.7500
Pt: 0.3318 0.1602 0.2500
Pt: 0.3718 0.6282 0.1569
Pt: 0.3718 0.6282 0.3431
Pt: 0.4370 0.0684 0.0790
Pt: 0.4370 0.0684 0.4210
Pt: 0.5000 0.5000 0.0000
Pt: 0.5000 0.5000 0.5000
Pt: 0.5630 0.9316 0.5790
Pt: 0.5630 0.9316 0.9210
Pt: 0.6282 0.3718 0.6569
Pt: 0.6282 0.3718 0.8431
Pt: 0.6682 0.8398 0.7500
Pt: 0.8398 0.6682 0.2500
Pt: 0.9316 0.5630 0.0790
Pt: 0.9316 0.5630 0.4210

Largest 10 diffraction maxima, low angle first, 5 to 70 degrees two-theta:
| two_theta | I_rel |
| --- | --- |
| 16.44 | 26 |
| 17.61 | 58 |
| 18.55 | 24 |
| 27.98 | 30 |
| 33.12 | 71 |
| 35.80 | 73 |
| 36.15 | 100 |
| 37.60 | 47 |
| 48.24 | 66 |
| 48.74 | 51 |


Structure and simulated XRD peak list of NaBPt3 (a DFT-relaxed cell (PBE, Alexandria); Cu Kα (weighted mean of Kα1 and Kα2)).

Crystal structure
Cell lengths 5.6122, 5.6122, 5.5677 Å; angles 90.00, 90.00, 120.00 degrees
Atoms (fractional coordinates):
Na: 0.0000 0.0000 0.0000
Na: 0.0000 0.0000 0.5000
B: 0.3333 0.6667 0.0000
B: 0.6667 0.3333 0.0000
Pt: 0.0000 0.5000 0.2570
Pt: 0.0000 0.5000 0.7430
Pt: 0.5000 0.0000 0.2570
Pt: 0.5000 0.0000 0.7430
Pt: 0.5000 0.5000 0.2570
Pt: 0.5000 0.5000 0.7430

Largest 10 diffraction maxima, low angle first, 5 to 70 degrees two-theta:
| two_theta | I_rel |
| --- | --- |
| 18.25 | 48 |
| 31.89 | 10 |
| 32.15 | 40 |
| 36.99 | 100 |
| 37.22 | 25 |
| 45.92 | 15 |
| 49.63 | 7 |
| 49.81 | 75 |
| 60.37 | 12 |
| 66.66 | 19 |


Structure and simulated XRD peak list of NaPuB12 (a DFT-relaxed cell (PBE, Alexandria); Cu Kα (weighted mean of Kα1 and Kα2)).

Crystal structure
Cell lengths 5.8430, 5.8430, 5.8430 Å; angles 60.00, 60.00, 60.00 degrees
Atoms (fractional coordinates):
Na: 0.0000 0.0000 0.0000
Pu: 0.5000 0.5000 0.5000
B: 0.1002 0.1002 0.3998
B: 0.1002 0.3998 0.1002
B: 0.1002 0.3998 0.3998
B: 0.3998 0.1002 0.1002
B: 0.3998 0.1002 0.3998
B: 0.3998 0.3998 0.1002
B: 0.6002 0.6002 0.8998
B: 0.6002 0.8998 0.6002
B: 0.6002 0.8998 0.8998
B: 0.8998 0.6002 0.6002
B: 0.8998 0.6002 0.8998
B: 0.8998 0.8998 0.6002

Largest 10 diffraction maxima, low angle first, 5 to 70 degrees two-theta:
| two_theta | I_rel |
| --- | --- |
| 18.60 | 100 |
| 21.51 | 45 |
| 30.60 | 78 |
| 36.05 | 60 |
| 37.71 | 33 |
| 47.99 | 28 |
| 49.32 | 39 |
| 58.00 | 21 |
| 67.00 | 21 |
| 68.08 | 23 |


Structure and simulated XRD peak list of RbNaBSe2 (a DFT-relaxed cell (PBE, Alexandria); Cu Kα (weighted mean of Kα1 and Kα2)).

Crystal structure
Cell lengths 7.6270, 4.9207, 8.5645 Å; angles 90.00, 105.42, 90.00 degrees
Atoms (fractional coordinates):
Rb: 0.0000 0.2443 0.2500
Rb: 0.0000 0.7557 0.7500
Na: 0.5000 0.0783 0.7500
Na: 0.5000 0.9217 0.2500
B: 0.5000 0.5000 0.0000
B: 0.5000 0.5000 0.5000
Se: 0.2924 0.2817 0.9791
Se: 0.2924 0.7183 0.4791
Se: 0.7076 0.2817 0.5209
Se: 0.7076 0.7183 0.0209

Largest 10 diffraction maxima, low angle first, 5 to 70 degrees two-theta:
| two_theta | I_rel |
| --- | --- |
| 21.71 | 27 |
| 25.70 | 100 |
| 27.88 | 29 |
| 29.96 | 31 |
| 36.55 | 44 |
| 36.81 | 20 |
| 37.43 | 12 |
| 39.93 | 17 |
| 42.87 | 12 |
| 43.86 | 12 |


Structure and simulated XRD peak list of NaBRh2 (a DFT-relaxed cell (PBE, Alexandria); Cu Kα (weighted mean of Kα1 and Kα2)).

Crystal structure
Cell lengths 7.8913, 7.8913, 7.8913 Å; angles 21.25, 21.25, 21.25 degrees
Atoms (fractional coordinates):
Na: 0.0000 0.0000 0.0000
B: 0.5000 0.5000 0.5000
Rh: 0.2234 0.2234 0.2234
Rh: 0.7766 0.7766 0.7766

Largest 10 diffraction maxima, low angle first, 5 to 70 degrees two-theta:
| two_theta | I_rel |
| --- | --- |
| 11.48 | 100 |
| 23.07 | 16 |
| 34.91 | 46 |
| 36.49 | 66 |
| 38.99 | 76 |
| 40.77 | 52 |
| 45.25 | 40 |
| 57.04 | 22 |
| 64.02 | 41 |
| 67.83 | 12 |


Structure and simulated XRD peak list of NaB4Ru4 (a DFT-relaxed cell (PBE, Alexandria); Cu Kα (weighted mean of Kα1 and Kα2)).

Crystal structure
Cell lengths 7.2908, 7.2908, 4.1643 Å; angles 90.00, 90.00, 90.00 degrees
Atoms (fractional coordinates):
Na: 0.2500 0.2500 0.2500
Na: 0.7500 0.7500 0.7500
B: 0.0655 0.9265 0.1314
B: 0.0735 0.5655 0.6314
B: 0.4265 0.9345 0.6314
B: 0.4345 0.5735 0.1314
B: 0.5655 0.4265 0.8686
B: 0.5735 0.0655 0.3686
B: 0.9265 0.4345 0.3686
B: 0.9345 0.0735 0.8686
Ru: 0.1139 0.6294 0.1316
Ru: 0.1294 0.8861 0.6316
Ru: 0.3706 0.6139 0.6316
Ru: 0.3861 0.8706 0.1316
Ru: 0.6139 0.1294 0.8684
Ru: 0.6294 0.3861 0.3684
Ru: 0.8706 0.1139 0.3684
Ru: 0.8861 0.3706 0.8684

Largest 10 diffraction maxima, low angle first, 5 to 70 degrees two-theta:
| two_theta | I_rel |
| --- | --- |
| 17.20 | 100 |
| 27.53 | 31 |
| 34.95 | 88 |
| 39.07 | 49 |
| 41.19 | 46 |
| 45.29 | 43 |
| 50.04 | 27 |
| 50.15 | 30 |
| 58.36 | 25 |
| 69.78 | 21 |


Structure and simulated XRD peak list of NaB4S7 (a DFT-relaxed cell (PBE, Alexandria); Cu Kα (weighted mean of Kα1 and Kα2)).

Crystal structure
Cell lengths 13.1850, 5.5422, 5.2787 Å; angles 90.00, 90.00, 90.00 degrees
Atoms (fractional coordinates):
Na: 0.0000 0.1897 0.0000
Na: 0.5000 0.8103 0.5000
B: 0.1244 0.6669 0.5839
B: 0.2479 0.1741 0.5644
B: 0.2521 0.8259 0.0644
B: 0.3756 0.3331 0.0839
B: 0.6244 0.3331 0.0839
B: 0.7479 0.8259 0.0644
B: 0.7521 0.1741 0.5644
B: 0.8756 0.6669 0.5839
S: 0.0000 0.8176 0.4710
S: 0.1261 0.3388 0.4797
S: 0.1259 0.7090 0.9446
S: 0.2403 0.8415 0.4430
S: 0.2597 0.1585 0.9430
S: 0.3741 0.2910 0.4446
S: 0.3739 0.6612 0.9797
S: 0.5000 0.1824 0.9710
S: 0.6259 0.2910 0.4446
S: 0.6261 0.6612 0.9797
S: 0.7403 0.1585 0.9430
S: 0.7597 0.8415 0.4430
S: 0.8739 0.3388 0.4797
S: 0.8741 0.7090 0.9446

Largest 10 diffraction maxima, low angle first, 5 to 70 degrees two-theta:
| two_theta | I_rel |
| --- | --- |
| 31.58 | 28 |
| 32.31 | 24 |
| 33.97 | 46 |
| 35.98 | 100 |
| 36.63 | 34 |
| 47.06 | 12 |
| 47.58 | 11 |
| 57.16 | 18 |
| 62.10 | 21 |
| 68.18 | 16 |


Question: Which formula does entry 9 have?
Answer: RbNaBSe2